Entry 1:
Simulated PXRD pattern of TbSm5Sc2 for Cu Kα, 1.54184 Å, from DFT lattice parameters and positions (PBE).

Top 12 peaks for 10 to 90 degrees two-theta, most intense first:
- 2θ 31.1, rel. 100.0
- 2θ 36.0, rel. 50.4
- 2θ 61.7, rel. 41.6
- 2θ 51.9, rel. 35.3
- 2θ 84.8, rel. 17.2
- 2θ 87.5, rel. 16.1
- 2θ 17.8, rel. 12.7
- 2θ 64.8, rel. 12.0
- 2θ 25.3, rel. 11.3
- 2θ 40.5, rel. 6.8
- 2θ 76.5, rel. 5.6
- 2θ 44.5, rel. 5.2

Crystal structure
Cell: 7.0456 14.0925 4.9865 Å, 90.00 90.00 90.00°
Atoms (fractional coordinates):
Tb1 0.0000 0.0000 0.0000
Tb2 0.5000 0.5000 0.0000
Sm1 0.0000 0.5000 0.0000
Sm2 0.0014 0.2494 0.0000
Sm3 0.2484 0.8757 0.5000
Sm4 0.2516 0.3757 0.5000
Sm5 0.4986 0.7494 0.0000
Sm6 0.5000 0.0000 0.0000
Sm7 0.5014 0.2506 0.0000
Sm8 0.7484 0.6243 0.5000
Sm9 0.7516 0.1243 0.5000
Sm10 0.9986 0.7506 0.0000
Sc1 0.2494 0.6245 0.5000
Sc2 0.2506 0.1245 0.5000
Sc3 0.7494 0.8755 0.5000
Sc4 0.7506 0.3755 0.5000

Entry 2:
Simulated PXRD pattern of Tb2Sm2Sc for Cu Kα, 1.54184 Å, from DFT lattice parameters and positions (PBE).

Top 12 peaks for 10 to 90 degrees two-theta, most intense first:
- 2θ 32.0, rel. 100.0
- 2θ 31.7, rel. 58.7
- 2θ 35.0, rel. 39.1
- 2θ 34.4, rel. 35.4
- 2θ 25.4, rel. 29.5
- 2θ 28.2, rel. 26.4
- 2θ 32.2, rel. 21.9
- 2θ 41.5, rel. 20.9
- 2θ 29.9, rel. 19.8
- 2θ 56.6, rel. 19.4
- 2θ 64.0, rel. 17.3
- 2θ 62.0, rel. 17.1

Crystal structure
Cell: 16.1667 16.1667 16.1667 Å, 167.46 159.89 23.77°
Atoms (fractional coordinates):
Tb1 0.2698 0.0198 0.2500
Tb2 0.3664 0.1164 0.2500
Tb3 0.6336 0.8836 0.7500
Tb4 0.7302 0.9802 0.7500
Sm1 0.0619 0.8119 0.2500
Sm2 0.4563 0.7063 0.7500
Sm3 0.5437 0.2937 0.2500
Sm4 0.9381 0.1881 0.7500
Sc1 0.1750 0.4250 0.7500
Sc2 0.8250 0.5750 0.2500

Entry 3:
Simulated PXRD pattern of Tb2Sm4Sc3 for Cu Kα, 1.54184 Å, from DFT lattice parameters and positions (PBE).

Top 12 peaks for 10 to 90 degrees two-theta, most intense first:
- 2θ 34.2, rel. 100.0
- 2θ 32.6, rel. 53.9
- 2θ 29.4, rel. 52.9
- 2θ 31.2, rel. 48.4
- 2θ 62.0, rel. 41.1
- 2θ 52.1, rel. 35.5
- 2θ 29.6, rel. 33.6
- 2θ 20.7, rel. 31.5
- 2θ 43.4, rel. 28.3
- 2θ 58.6, rel. 27.6
- 2θ 10.3, rel. 23.8
- 2θ 36.2, rel. 22.2

Crystal structure
Cell: 3.5127 3.5127 25.7707 Å, 90.00 90.00 120.00°
Atoms (fractional coordinates):
Tb1 0.0000 0.0000 0.0000
Tb2 0.0000 0.0000 0.2055
Sm1 0.0000 0.0000 0.3427
Sm2 0.0000 0.0000 0.5516
Sm3 0.3333 0.6667 0.6722
Sm4 0.3333 0.6667 0.8825
Sc1 0.0000 0.0000 0.7771
Sc2 0.3333 0.6667 0.1036
Sc3 0.3333 0.6667 0.4462

Entry 4:
Simulated PXRD pattern of Tb2SmSc2 for Cu Kα, 1.54184 Å, from DFT lattice parameters and positions (PBE).

Top 12 peaks for 10 to 90 degrees two-theta, most intense first:
- 2θ 35.4, rel. 100.0
- 2θ 32.4, rel. 78.0
- 2θ 32.3, rel. 46.6
- 2θ 11.1, rel. 45.1
- 2θ 28.6, rel. 43.2
- 2θ 43.7, rel. 27.3
- 2θ 23.2, rel. 25.2
- 2θ 63.7, rel. 23.6
- 2θ 31.5, rel. 23.5
- 2θ 59.6, rel. 21.7
- 2θ 64.6, rel. 21.1
- 2θ 53.3, rel. 20.4

Crystal structure
Cell: 3.3853 5.5484 15.9496 Å, 90.00 90.00 90.00°
Atoms (fractional coordinates):
Tb1 0.0000 0.0000 0.0000
Tb2 0.0000 0.5000 0.5000
Tb3 0.5000 0.0000 0.2007
Tb4 0.5000 0.5000 0.7007
Sm1 0.0000 0.0000 0.6257
Sm2 0.0000 0.5000 0.1257
Sc1 0.0000 0.0000 0.3841
Sc2 0.0000 0.5000 0.8841
Sc3 0.5000 0.0000 0.8161
Sc4 0.5000 0.5000 0.3161

Entry 5:
Simulated PXRD pattern of Tb3Sm4Sc2 for Cu Kα, 1.54184 Å, from DFT lattice parameters and positions (PBE).

Top 12 peaks for 10 to 90 degrees two-theta, most intense first:
- 2θ 31.7, rel. 100.0
- 2θ 32.4, rel. 96.5
- 2θ 31.9, rel. 51.4
- 2θ 32.0, rel. 46.9
- 2θ 45.8, rel. 35.1
- 2θ 57.3, rel. 33.4
- 2θ 63.2, rel. 31.0
- 2θ 57.5, rel. 19.6
- 2θ 46.1, rel. 17.7
- 2θ 56.9, rel. 16.5
- 2θ 63.0, rel. 13.3
- 2θ 16.6, rel. 13.1

Crystal structure
Cell: 9.6499 9.6499 6.9483 Å, 90.00 90.00 120.66°
Atoms (fractional coordinates):
Tb1 0.0000 0.0000 0.2500
Tb2 0.0000 0.0000 0.7500
Tb3 0.3259 0.6741 0.2500
Tb4 0.3259 0.6741 0.7500
Tb5 0.6741 0.3259 0.2500
Tb6 0.6741 0.3259 0.7500
Sm1 0.0067 0.3309 0.5000
Sm2 0.3223 0.3437 0.0000
Sm3 0.3309 0.0067 0.0000
Sm4 0.3437 0.3223 0.5000
Sm5 0.6563 0.6777 0.5000
Sm6 0.6691 0.9933 0.0000
Sm7 0.6777 0.6563 0.0000
Sm8 0.9933 0.6691 0.5000
Sc1 0.0079 0.6640 0.0000
Sc2 0.3360 0.9921 0.5000
Sc3 0.6640 0.0079 0.5000
Sc4 0.9921 0.3360 0.0000

Entry 6:
Simulated PXRD pattern of Tb4Sm3Sc2 for Cu Kα, 1.54184 Å, from DFT lattice parameters and positions (PBE).

Top 12 peaks for 10 to 90 degrees two-theta, most intense first:
- 2θ 31.3, rel. 100.0
- 2θ 33.6, rel. 75.9
- 2θ 31.8, rel. 60.7
- 2θ 32.3, rel. 46.0
- 2θ 31.2, rel. 35.5
- 2θ 32.7, rel. 35.3
- 2θ 31.7, rel. 35.1
- 2θ 30.4, rel. 28.5
- 2θ 38.3, rel. 24.1
- 2θ 28.2, rel. 21.7
- 2θ 34.8, rel. 21.7
- 2θ 47.7, rel. 21.3

Crystal structure
Cell: 9.8278 9.8278 6.7085 Å, 94.40 94.40 60.74°
Atoms (fractional coordinates):
Tb1 0.1707 0.7987 0.9844
Tb2 0.1871 0.4336 0.1077
Tb3 0.2013 0.8293 0.5156
Tb4 0.4336 0.1871 0.6077
Tb5 0.5664 0.8129 0.3923
Tb6 0.7987 0.1707 0.4844
Tb7 0.8129 0.5664 0.8923
Tb8 0.8293 0.2013 0.0156
Sm1 0.1014 0.2008 0.7380
Sm2 0.2008 0.1014 0.2380
Sm3 0.4913 0.5087 0.2500
Sm4 0.5087 0.4913 0.7500
Sm5 0.7992 0.8986 0.7620
Sm6 0.8986 0.7992 0.2620
Sc1 0.1188 0.5455 0.6253
Sc2 0.4545 0.8812 0.8747
Sc3 0.5455 0.1188 0.1253
Sc4 0.8812 0.4545 0.3747

Entry 7:
Simulated PXRD pattern of Tb3Sm6Th2Sc for Cu Kα, 1.54184 Å, from DFT lattice parameters and positions (PBE).

Top 12 peaks for 10 to 90 degrees two-theta, most intense first:
- 2θ 30.7, rel. 100.0
- 2θ 35.5, rel. 67.7
- 2θ 30.5, rel. 34.4
- 2θ 60.8, rel. 28.8
- 2θ 51.0, rel. 24.2
- 2θ 51.3, rel. 24.1
- 2θ 60.6, rel. 14.4
- 2θ 60.9, rel. 14.3
- 2θ 63.9, rel. 12.4
- 2θ 86.3, rel. 11.1
- 2θ 85.8, rel. 11.1
- 2θ 83.6, rel. 8.0

Crystal structure
Cell: 6.1724 6.1724 11.9060 Å, 94.98 94.98 119.96°
Atoms (fractional coordinates):
Tb1 0.0000 0.0000 0.0000
Tb2 0.3333 0.6667 0.0000
Tb3 0.6667 0.3333 0.0000
Sm1 0.0866 0.4184 0.2542
Sm2 0.2491 0.2491 0.7464
Sm3 0.4184 0.0866 0.2542
Sm4 0.5816 0.9134 0.7458
Sm5 0.7509 0.7509 0.2536
Sm6 0.9134 0.5816 0.7458
Th1 0.1662 0.8338 0.5000
Th2 0.8338 0.1662 0.5000
Sc1 0.5000 0.5000 0.5000

Entry 8:
Simulated PXRD pattern of Tb2SmThSc for Cu Kα, 1.54184 Å, from DFT lattice parameters and positions (PBE).

Top 12 peaks for 10 to 90 degrees two-theta, most intense first:
- 2θ 31.0, rel. 100.0
- 2θ 31.2, rel. 98.5
- 2θ 36.2, rel. 66.0
- 2θ 51.8, rel. 59.2
- 2θ 35.8, rel. 34.0
- 2θ 11.3, rel. 33.8
- 2θ 61.4, rel. 14.9
- 2θ 61.5, rel. 14.3
- 2θ 61.7, rel. 14.1
- 2θ 62.0, rel. 13.8
- 2θ 61.8, rel. 13.8
- 2θ 62.2, rel. 13.5

Crystal structure
Cell: 7.8234 5.0099 7.8818 Å, 90.00 90.35 90.00°
Atoms (fractional coordinates):
Tb1 0.1533 0.2500 0.4511
Tb2 0.3420 0.2500 0.0531
Tb3 0.6580 0.7500 0.9469
Tb4 0.8467 0.7500 0.5489
Sm1 0.2517 0.7500 0.7546
Sm2 0.7483 0.2500 0.2454
Th1 0.4453 0.7500 0.3515
Th2 0.5547 0.2500 0.6485
Sc1 0.0504 0.7500 0.1489
Sc2 0.9496 0.2500 0.8511

Entry 9:
Simulated PXRD pattern of Tb2SmScTl2 for Cu Kα, 1.54184 Å, from DFT lattice parameters and positions (PBE).

Top 12 peaks for 10 to 90 degrees two-theta, most intense first:
- 2θ 32.7, rel. 100.0
- 2θ 36.1, rel. 31.6
- 2θ 31.4, rel. 29.0
- 2θ 35.2, rel. 25.1
- 2θ 62.7, rel. 16.4
- 2θ 43.1, rel. 14.5
- 2θ 30.1, rel. 13.0
- 2θ 22.1, rel. 12.0
- 2θ 23.8, rel. 11.1
- 2θ 37.7, rel. 10.6
- 2θ 28.5, rel. 10.0
- 2θ 57.4, rel. 9.9

Crystal structure
Cell: 4.9815 9.8338 6.9605 Å, 90.00 90.00 90.00°
Atoms (fractional coordinates):
Tb1 0.0000 0.0502 0.0000
Tb2 0.0000 0.9498 0.5000
Tb3 0.5000 0.1863 0.2914
Tb4 0.5000 0.8137 0.7914
Sm1 0.5000 0.4513 0.9019
Sm2 0.5000 0.5487 0.4019
Sc1 0.0000 0.3042 0.6116
Sc2 0.0000 0.6958 0.1116
Tl1 0.0000 0.3789 0.1777
Tl2 0.0000 0.6211 0.6777
Tl3 0.5000 0.1379 0.7384
Tl4 0.5000 0.8621 0.2384

Entry 10:
Simulated PXRD pattern of Tb2Sm5TmSc for Cu Kα, 1.54184 Å, from DFT lattice parameters and positions (PBE).

Top 12 peaks for 10 to 90 degrees two-theta, most intense first:
- 2θ 31.9, rel. 100.0
- 2θ 27.2, rel. 34.9
- 2θ 33.6, rel. 31.9
- 2θ 59.0, rel. 17.2
- 2θ 35.5, rel. 16.2
- 2θ 32.9, rel. 14.0
- 2θ 49.7, rel. 13.0
- 2θ 60.7, rel. 12.6
- 2θ 47.7, rel. 9.9
- 2θ 31.6, rel. 9.5
- 2θ 61.4, rel. 9.1
- 2θ 49.1, rel. 8.8

Crystal structure
Cell: 11.2232 11.2232 10.1287 Å, 90.00 90.00 152.53°
Atoms (fractional coordinates):
Tb1 0.1157 0.8843 0.0004
Tb2 0.1157 0.8843 0.4996
Tb3 0.8843 0.1157 0.9996
Tb4 0.8843 0.1157 0.5004
Sm1 0.0007 0.9993 0.7500
Sm2 0.2787 0.7213 0.5625
Sm3 0.2787 0.7213 0.9375
Sm4 0.3733 0.6268 0.2500
Sm5 0.5000 0.5000 0.0000
Sm6 0.5000 0.5000 0.5000
Sm7 0.6268 0.3733 0.7500
Sm8 0.7213 0.2787 0.0625
Sm9 0.7213 0.2787 0.4375
Sm10 0.9993 0.0007 0.2500
Tm1 0.3986 0.6014 0.7500
Tm2 0.6014 0.3986 0.2500
Sc1 0.2138 0.7862 0.2500
Sc2 0.7862 0.2138 0.7500

Entry 11:
Simulated PXRD pattern of TbSmTm2Sc2 for Cu Kα, 1.54184 Å, from DFT lattice parameters and positions (PBE).

Top 12 peaks for 10 to 90 degrees two-theta, most intense first:
- 2θ 30.3, rel. 100.0
- 2θ 31.2, rel. 50.9
- 2θ 31.1, rel. 42.8
- 2θ 32.2, rel. 40.3
- 2θ 25.1, rel. 40.2
- 2θ 37.0, rel. 38.1
- 2θ 30.4, rel. 37.0
- 2θ 42.6, rel. 35.4
- 2θ 30.8, rel. 33.5
- 2θ 52.7, rel. 30.4
- 2θ 51.5, rel. 27.9
- 2θ 35.4, rel. 27.0

Crystal structure
Cell: 6.2825 17.2161 3.3287 Å, 90.00 90.00 90.00°
Atoms (fractional coordinates):
Tb1 0.0000 0.0000 0.0000
Tb2 0.5000 0.5000 0.5000
Sm1 0.0000 0.5000 0.0000
Sm2 0.5000 0.0000 0.5000
Tm1 0.2255 0.1898 0.0000
Tm2 0.2745 0.6898 0.5000
Tm3 0.7255 0.3102 0.5000
Tm4 0.7745 0.8102 0.0000
Sc1 0.2252 0.3525 0.5000
Sc2 0.2748 0.8525 0.0000
Sc3 0.7252 0.1475 0.0000
Sc4 0.7748 0.6475 0.5000

Entry 12:
Simulated PXRD pattern of TbSmY2Sc2 for Cu Kα, 1.54184 Å, from DFT lattice parameters and positions (PBE).

Top 12 peaks for 10 to 90 degrees two-theta, most intense first:
- 2θ 30.2, rel. 100.0
- 2θ 30.8, rel. 52.7
- 2θ 31.9, rel. 46.2
- 2θ 10.1, rel. 40.7
- 2θ 36.7, rel. 39.6
- 2θ 35.1, rel. 28.6
- 2θ 20.4, rel. 24.7
- 2θ 43.6, rel. 23.2
- 2θ 52.5, rel. 22.5
- 2θ 42.3, rel. 17.0
- 2θ 34.0, rel. 16.0
- 2θ 63.8, rel. 15.4

Crystal structure
Cell: 6.3044 17.4316 3.3541 Å, 90.00 90.00 90.00°
Atoms (fractional coordinates):
Tb1 0.0000 0.0000 0.0000
Tb2 0.5000 0.5000 0.5000
Sm1 0.0000 0.5000 0.0000
Sm2 0.5000 0.0000 0.5000
Y1 0.2239 0.1910 0.0000
Y2 0.2761 0.6910 0.5000
Y3 0.7239 0.3090 0.5000
Y4 0.7761 0.8090 0.0000
Sc1 0.2231 0.3545 0.5000
Sc2 0.2769 0.8545 0.0000
Sc3 0.7231 0.1455 0.0000
Sc4 0.7769 0.6455 0.5000